Entry 1:
Diffraction record for Li2RhCl6. The powder diffraction line list is computed, not measured: it uses a PBE-relaxed structure and copper Kα.

Atomic structure:
Lattice parameters (Å, degrees): 6.2461 6.5239 11.7480 90.00 119.91 90.00
Fractional positions:
Li1 0.1507 0.1000 0.1600
Li2 0.1507 0.4000 0.6600
Li3 0.8493 0.6000 0.3400
Li4 0.8493 0.9000 0.8400
Rh1 0.5000 0.0000 0.0000
Rh2 0.5000 0.5000 0.5000
Cl1 0.1520 0.0978 0.7997
Cl2 0.1520 0.4022 0.2997
Cl3 0.2349 0.6951 0.5465
Cl4 0.2349 0.8049 0.0465
Cl5 0.4391 0.2214 0.6035
Cl6 0.4391 0.2786 0.1035
Cl7 0.5609 0.7214 0.8965
Cl8 0.5609 0.7786 0.3965
Cl9 0.7651 0.1951 0.9535
Cl10 0.7651 0.3049 0.4535
Cl11 0.8480 0.5978 0.7003
Cl12 0.8480 0.9022 0.2003

Largest 10 diffraction maxima, in order of rising 2θ, 10° ≤ 2θ ≤ 90°:
2θ (°)  I (rel.)
16.14  100
16.37  33
16.94  29
17.42  31
19.68  42
29.47  21
31.79  20
32.34  25
32.58  21
33.31  20

Entry 2:
Diffraction record for LiS4Cl. The powder diffraction line list is computed, not measured: it uses a PBE-relaxed structure and copper Kα.

Atomic structure:
Lattice parameters (Å, degrees): 4.1642 5.7968 15.3343 99.00 95.91 94.67
Fractional positions:
Li1 0.2105 0.4267 0.2830
Li2 0.7895 0.5733 0.7170
S1 0.0057 0.0836 0.5696
S2 0.0883 0.3790 0.9457
S3 0.1437 0.9294 0.0525
S4 0.3379 0.7063 0.4340
S5 0.6621 0.2937 0.5660
S6 0.8563 0.0706 0.9475
S7 0.9117 0.6210 0.0543
S8 0.9943 0.9164 0.4304
Cl1 0.3164 0.6985 0.7502
Cl2 0.6836 0.3015 0.2498

Largest 10 diffraction maxima, in order of rising 2θ, 10° ≤ 2θ ≤ 90°:
2θ (°)  I (rel.)
11.77  81
17.90  20
21.57  100
25.55  47
25.84  23
26.33  26
27.95  25
28.09  17
34.94  17
35.82  21

Entry 3:
Diffraction record for Li4SCl2. The powder diffraction line list is computed, not measured: it uses a PBE-relaxed structure and copper Kα.

Atomic structure:
Lattice parameters (Å, degrees): 4.6088 4.6088 13.2540 90.00 90.00 90.00
Fractional positions:
Li1 0.0000 0.0000 0.1760
Li2 0.0000 0.0000 0.8240
Li3 0.0000 0.5000 0.0000
Li4 0.0000 0.5000 0.5000
Li5 0.5000 0.0000 0.0000
Li6 0.5000 0.0000 0.5000
Li7 0.5000 0.5000 0.3240
Li8 0.5000 0.5000 0.6760
S1 0.0000 0.0000 0.0000
S2 0.5000 0.5000 0.5000
Cl1 0.0000 0.0000 0.3484
Cl2 0.0000 0.0000 0.6516
Cl3 0.5000 0.5000 0.1516
Cl4 0.5000 0.5000 0.8484

Largest 10 diffraction maxima, in order of rising 2θ, 10° ≤ 2θ ≤ 90°:
2θ (°)  I (rel.)
27.37  69
27.98  100
39.09  34
40.85  12
48.75  34
49.87  16
56.50  14
57.82  16
63.87  9
77.78  9

Entry 4:
Diffraction record for LiS3Cl3. The powder diffraction line list is computed, not measured: it uses a PBE-relaxed structure and copper Kα.

Atomic structure:
Lattice parameters (Å, degrees): 7.6355 8.0924 8.5680 104.53 103.81 105.76
Fractional positions:
Li1 0.0766 0.0826 0.3819
Li2 0.9234 0.9174 0.6181
S1 0.1049 0.5826 0.7878
S2 0.3994 0.6611 0.8864
S3 0.4916 0.3695 0.3035
S4 0.5084 0.6305 0.6965
S5 0.6006 0.3389 0.1136
S6 0.8951 0.4174 0.2122
Cl1 0.0750 0.8446 0.8672
Cl2 0.0789 0.2207 0.6545
Cl3 0.4132 0.1241 0.3591
Cl4 0.5868 0.8759 0.6409
Cl5 0.9211 0.7793 0.3455
Cl6 0.9250 0.1554 0.1328

Largest 10 diffraction maxima, in order of rising 2θ, 10° ≤ 2θ ≤ 90°:
2θ (°)  I (rel.)
13.47  53
18.22  100
19.18  82
19.69  29
21.82  51
22.71  33
23.65  33
24.40  43
25.68  53
34.56  29

Entry 5:
Diffraction record for Li5S2Cl. The powder diffraction line list is computed, not measured: it uses a PBE-relaxed structure and copper Kα.

Atomic structure:
Lattice parameters (Å, degrees): 10.0403 7.8637 7.0349 90.00 106.02 90.00
Fractional positions:
Li1 0.0166 0.1337 0.1918
Li2 0.0166 0.3663 0.6918
Li3 0.2316 0.1314 0.6510
Li4 0.2316 0.3686 0.1510
Li5 0.2433 0.6139 0.6481
Li6 0.2433 0.8861 0.1481
Li7 0.4062 0.1246 0.0421
Li8 0.4062 0.3754 0.5421
Li9 0.4261 0.6284 0.0554
Li10 0.4261 0.8716 0.5554
Li11 0.5739 0.1284 0.4446
Li12 0.5739 0.3716 0.9446
Li13 0.5938 0.6246 0.4579
Li14 0.5938 0.8754 0.9579
Li15 0.7567 0.1139 0.8519
Li16 0.7567 0.3861 0.3519
Li17 0.7684 0.6314 0.8490
Li18 0.7684 0.8686 0.3490
Li19 0.9834 0.6337 0.3082
Li20 0.9834 0.8663 0.8082
S1 0.1508 0.1250 0.9423
S2 0.1508 0.3750 0.4423
S3 0.4981 0.1235 0.7478
S4 0.4981 0.3765 0.2478
S5 0.5019 0.6235 0.7522
S6 0.5019 0.8765 0.2522
S7 0.8492 0.6250 0.5577
S8 0.8492 0.8750 0.0577
Cl1 0.1776 0.6303 0.9536
Cl2 0.1776 0.8697 0.4536
Cl3 0.8224 0.1303 0.5464
Cl4 0.8224 0.3697 0.0464

Largest 10 diffraction maxima, in order of rising 2θ, 10° ≤ 2θ ≤ 90°:
2θ (°)  I (rel.)
26.22  39
27.73  100
29.04  58
29.99  29
30.33  22
41.23  20
45.05  34
46.18  18
52.73  13
54.71  34

Entry 6:
Diffraction record for LiSb2Cl6. The powder diffraction line list is computed, not measured: it uses a PBE-relaxed structure and copper Kα.

Atomic structure:
Lattice parameters (Å, degrees): 6.1603 6.1603 13.1845 90.00 90.00 90.00
Fractional positions:
Li1 0.0000 0.0000 0.0000
Li2 0.5000 0.5000 0.5000
Sb1 0.0000 0.0000 0.3379
Sb2 0.0000 0.0000 0.6621
Sb3 0.5000 0.5000 0.1621
Sb4 0.5000 0.5000 0.8379
Cl1 0.1872 0.1872 0.5000
Cl2 0.1942 0.1942 0.1510
Cl3 0.1942 0.1942 0.8490
Cl4 0.3058 0.6942 0.3490
Cl5 0.3058 0.6942 0.6510
Cl6 0.3128 0.6872 0.0000
Cl7 0.6872 0.3128 0.0000
Cl8 0.6942 0.3058 0.3490
Cl9 0.6942 0.3058 0.6510
Cl10 0.8058 0.8058 0.1510
Cl11 0.8058 0.8058 0.8490
Cl12 0.8128 0.8128 0.5000

Largest 10 diffraction maxima, in order of rising 2θ, 10° ≤ 2θ ≤ 90°:
2θ (°)  I (rel.)
15.88  67
20.39  100
24.89  45
28.86  39
33.22  23
38.57  91
41.08  19
41.46  27
46.28  21
48.96  44

Entry 7:
Diffraction record for LiSb3Cl9. The powder diffraction line list is computed, not measured: it uses a PBE-relaxed structure and copper Kα.

Atomic structure:
Lattice parameters (Å, degrees): 12.3070 12.3070 10.2733 112.34 112.34 50.14
Fractional positions:
Li1 0.1813 0.8187 0.5000
Li2 0.8187 0.1813 0.0000
Sb1 0.0994 0.7828 0.1451
Sb2 0.2587 0.3158 0.8497
Sb3 0.3158 0.2587 0.3497
Sb4 0.3682 0.8987 0.9234
Sb5 0.7828 0.0994 0.6451
Sb6 0.8987 0.3682 0.4234
Cl1 0.0401 0.9469 0.9846
Cl2 0.1539 0.1871 0.2231
Cl3 0.1679 0.4156 0.6370
Cl4 0.1684 0.6322 0.3207
Cl5 0.1871 0.1539 0.7231
Cl6 0.2484 0.8543 0.3258
Cl7 0.2889 0.5791 0.0181
Cl8 0.3316 0.7311 0.7179
Cl9 0.4156 0.1679 0.1370
Cl10 0.5117 0.7370 0.0840
Cl11 0.5642 0.8441 0.8542
Cl12 0.5791 0.2889 0.5181
Cl13 0.6322 0.1684 0.8207
Cl14 0.7311 0.3316 0.2179
Cl15 0.7370 0.5117 0.5840
Cl16 0.8441 0.5642 0.3542
Cl17 0.8543 0.2484 0.8258
Cl18 0.9469 0.0401 0.4846

Largest 10 diffraction maxima, in order of rising 2θ, 10° ≤ 2θ ≤ 90°:
2θ (°)  I (rel.)
14.71  100
15.17  88
15.65  57
19.15  35
19.54  41
19.74  25
24.34  54
28.79  36
31.47  47
36.53  29

Entry 8:
Diffraction record for Li4Sb2Cl9. The powder diffraction line list is computed, not measured: it uses a PBE-relaxed structure and copper Kα.

Atomic structure:
Lattice parameters (Å, degrees): 6.8742 6.9455 18.6676 80.25 84.49 61.48
Fractional positions:
Li1 0.0061 0.2059 0.4442
Li2 0.1592 0.2218 0.1453
Li3 0.1867 0.0195 0.9428
Li4 0.2875 0.1476 0.6501
Li5 0.7125 0.8524 0.3499
Li6 0.8133 0.9805 0.0572
Li7 0.8408 0.7782 0.8547
Li8 0.9939 0.7941 0.5558
Sb1 0.3415 0.5709 0.3379
Sb2 0.4760 0.4378 0.8292
Sb3 0.5240 0.5622 0.1708
Sb4 0.6585 0.4291 0.6621
Cl1 0.0155 0.6668 0.2607
Cl2 0.0283 0.1105 0.5758
Cl3 0.1471 0.7483 0.7667
Cl4 0.1690 0.9574 0.0743
Cl5 0.1794 0.3838 0.9143
Cl6 0.3185 0.4576 0.5835
Cl7 0.3621 0.2025 0.3966
Cl8 0.4367 0.9092 0.2462
Cl9 0.4788 0.2907 0.0981
Cl10 0.5212 0.7093 0.9019
Cl11 0.5633 0.0908 0.7538
Cl12 0.6379 0.7975 0.6034
Cl13 0.6815 0.5424 0.4165
Cl14 0.8206 0.6162 0.0857
Cl15 0.8310 0.0426 0.9257
Cl16 0.8529 0.2517 0.2333
Cl17 0.9717 0.8895 0.4242
Cl18 0.9845 0.3332 0.7393

Largest 10 diffraction maxima, in order of rising 2θ, 10° ≤ 2θ ≤ 90°:
2θ (°)  I (rel.)
14.66  100
15.10  52
16.62  52
17.43  38
24.54  35
26.42  28
30.80  38
31.00  34
44.54  30
45.94  25

Copy entry 8 word for word.
Diffraction record for Li4Sb2Cl9. The powder diffraction line list is computed, not measured: it uses a PBE-relaxed structure and copper Kα.

Atomic structure:
Lattice parameters (Å, degrees): 6.8742 6.9455 18.6676 80.25 84.49 61.48
Fractional positions:
Li1 0.0061 0.2059 0.4442
Li2 0.1592 0.2218 0.1453
Li3 0.1867 0.0195 0.9428
Li4 0.2875 0.1476 0.6501
Li5 0.7125 0.8524 0.3499
Li6 0.8133 0.9805 0.0572
Li7 0.8408 0.7782 0.8547
Li8 0.9939 0.7941 0.5558
Sb1 0.3415 0.5709 0.3379
Sb2 0.4760 0.4378 0.8292
Sb3 0.5240 0.5622 0.1708
Sb4 0.6585 0.4291 0.6621
Cl1 0.0155 0.6668 0.2607
Cl2 0.0283 0.1105 0.5758
Cl3 0.1471 0.7483 0.7667
Cl4 0.1690 0.9574 0.0743
Cl5 0.1794 0.3838 0.9143
Cl6 0.3185 0.4576 0.5835
Cl7 0.3621 0.2025 0.3966
Cl8 0.4367 0.9092 0.2462
Cl9 0.4788 0.2907 0.0981
Cl10 0.5212 0.7093 0.9019
Cl11 0.5633 0.0908 0.7538
Cl12 0.6379 0.7975 0.6034
Cl13 0.6815 0.5424 0.4165
Cl14 0.8206 0.6162 0.0857
Cl15 0.8310 0.0426 0.9257
Cl16 0.8529 0.2517 0.2333
Cl17 0.9717 0.8895 0.4242
Cl18 0.9845 0.3332 0.7393

Largest 10 diffraction maxima, in order of rising 2θ, 10° ≤ 2θ ≤ 90°:
2θ (°)  I (rel.)
14.66  100
15.10  52
16.62  52
17.43  38
24.54  35
26.42  28
30.80  38
31.00  34
44.54  30
45.94  25

Number 4 is which compound? LiS3Cl3

What did the first record say?
Diffraction record for Li2RhCl6. The powder diffraction line list is computed, not measured: it uses a PBE-relaxed structure and copper Kα.

Atomic structure:
Lattice parameters (Å, degrees): 6.2461 6.5239 11.7480 90.00 119.91 90.00
Fractional positions:
Li1 0.1507 0.1000 0.1600
Li2 0.1507 0.4000 0.6600
Li3 0.8493 0.6000 0.3400
Li4 0.8493 0.9000 0.8400
Rh1 0.5000 0.0000 0.0000
Rh2 0.5000 0.5000 0.5000
Cl1 0.1520 0.0978 0.7997
Cl2 0.1520 0.4022 0.2997
Cl3 0.2349 0.6951 0.5465
Cl4 0.2349 0.8049 0.0465
Cl5 0.4391 0.2214 0.6035
Cl6 0.4391 0.2786 0.1035
Cl7 0.5609 0.7214 0.8965
Cl8 0.5609 0.7786 0.3965
Cl9 0.7651 0.1951 0.9535
Cl10 0.7651 0.3049 0.4535
Cl11 0.8480 0.5978 0.7003
Cl12 0.8480 0.9022 0.2003

Largest 10 diffraction maxima, in order of rising 2θ, 10° ≤ 2θ ≤ 90°:
2θ (°)  I (rel.)
16.14  100
16.37  33
16.94  29
17.42  31
19.68  42
29.47  21
31.79  20
32.34  25
32.58  21
33.31  20